Structure and simulated X-ray powder pattern of Na2MgCuO2 (the GGA-PBE geometry in the Materials Project; copper Kα).
No peak broadening, texture or thermal motion is included.

Peak list (6 most intense, 5 to 70 degrees two-theta, in order of rising 2θ)
d 5.417, rel. 100, hkl 0 0 1; d 4.508, rel. 85, hkl 0 1 -1; d 2.709, rel. 51, hkl 0 0 2; d 2.339, rel. 92, hkl 1 -1 1; d 2.301, rel. 69, hkl 1 1 -2; d 2.033, rel. 53, hkl 0 2 1

Crystal structure
```
6
Lattice="3.0696 0.0000 0.0000 -0.1474 5.3263 0.0000 -1.4946 -1.9182 5.4171" Properties=species:S:1:pos:R:3 pbc="T T T"
Na -0.0532 0.5129 2.3931
Na 1.4808 2.8953 3.0240
Mg -0.0737 2.6632 0.0000
Cu 1.5348 0.0000 0.0000
O -0.0437 1.7730 4.4504
O 1.4713 1.6352 0.9667
```